# PmThCoPt
Simulated X-ray powder pattern, Cu Kα. Input: a PBE-relaxed structure.
Neutral-atom scattering factors, no anomalous dispersion.

Structure:
a = 4.1825 Å, b = 3.8331 Å, c = 11.2484 Å
α = 90.00°, β = 90.00°, γ = 90.00°
Atoms (fractional coordinates):
Pm (0.0000, 0.0000, 0.0000)
Pm (0.0000, 0.5000, 0.5000)
Th (0.5000, 0.0000, 0.7222)
Th (0.5000, 0.5000, 0.2222)
Co (0.0000, 0.0000, 0.2566)
Co (0.0000, 0.5000, 0.7566)
Pt (0.5000, 0.0000, 0.4355)
Pt (0.5000, 0.5000, 0.9355)

Top 10 peaks for 2θ from 10° to 80°, by angle:
2θ (°)  intensity
31.82  38
32.67  100
33.43  37
38.58  23
39.95  68
43.26  26
47.44  20
55.75  18
62.71  26
79.22  18